Entry 1:
Structure and theoretical powder diffractogram of LiFePO4 (a GGA+U-relaxed structure; λ = 1.5418 Å (Cu Kα)).
Lines closer than 0.1° are merged.

Top 12 peaks for 5 to 70 degrees two-theta, in order of rising 2θ:
5.871 Å, 15.09°, I = 47; 4.268 Å, 20.81°, I = 26; 4.141 Å, 21.46°, I = 42; 3.686 Å, 24.14°, I = 50; 3.655 Å, 24.35°, I = 55; 3.075 Å, 29.03°, I = 46; 2.952 Å, 30.28°, I = 67; 2.893 Å, 30.91°, I = 100; 2.684 Å, 33.38°, I = 29; 2.335 Å, 38.55°, I = 41; 1.776 Å, 51.46°, I = 21; 1.642 Å, 56.00°, I = 33

Structure:
```
data_LiFePO4
_chemical_formula_sum 'Li4 Fe4 P4 O16'
_cell_length_a 4.736
_cell_length_b 8.088
_cell_length_c 9.761
_cell_angle_alpha 90.00
_cell_angle_beta 119.02
_cell_angle_gamma 90.00
_symmetry_space_group_name_H-M 'P 1 c 1'
_symmetry_Int_Tables_number 7
_symmetry_space_group_name_Hall 'P -2yc'
loop_
_atom_site_label
_atom_site_fract_x
_atom_site_fract_y
_atom_site_fract_z
Li1 0.000 0.139 0.000
Li2 0.492 0.360 0.992
Fe1 0.753 0.186 0.652
Fe2 0.942 0.315 0.340
P1 0.175 0.492 0.164
P2 0.339 0.008 0.828
O1 0.020 0.342 0.571
O2 0.038 0.009 0.165
O3 0.200 0.491 0.827
O4 0.285 0.153 0.915
O5 0.369 0.158 0.420
O6 0.517 0.461 0.183
O7 0.643 0.039 0.809
O8 0.948 0.346 0.078
```


Entry 2:
Structure and theoretical powder diffractogram of LiFePO4 (a GGA+U-relaxed structure; λ = 1.5418 Å (Cu Kα)).
Lines closer than 0.1° are merged.

Top 12 peaks for 5 to 70 degrees two-theta, in order of rising 2θ:
5.352 Å, 16.56°, I = 63; 4.150 Å, 21.41°, I = 21; 3.891 Å, 22.85°, I = 68; 3.682 Å, 24.17°, I = 100; 3.216 Å, 27.74°, I = 51; 2.846 Å, 31.44°, I = 25; 2.676 Å, 33.49°, I = 48; 2.537 Å, 35.38°, I = 52; 2.482 Å, 36.19°, I = 22; 2.367 Å, 38.01°, I = 34; 1.992 Å, 45.54°, I = 20; 1.608 Å, 57.30°, I = 25

Structure:
```
data_LiFePO4
_chemical_formula_sum 'Li4 Fe4 P4 O16'
_cell_length_a 11.382
_cell_length_b 6.064
_cell_length_c 5.074
_cell_angle_alpha 90.00
_cell_angle_beta 90.00
_cell_angle_gamma 90.00
_symmetry_space_group_name_H-M 'P n a 21'
_symmetry_Int_Tables_number 33
_symmetry_space_group_name_Hall 'P 2c -2n'
loop_
_atom_site_label
_atom_site_fract_x
_atom_site_fract_y
_atom_site_fract_z
Li1 0.065 0.217 0.000
Fe1 0.168 0.464 0.497
P1 0.088 0.730 0.006
O1 0.038 0.245 0.392
O2 0.082 0.714 0.311
O3 0.148 0.517 0.898
O4 0.159 0.941 0.929
```


Entry 3:
Structure and theoretical powder diffractogram of LiFe2P2O9 (a GGA+U-relaxed structure; λ = 1.5418 Å (Cu Kα)).
Lines closer than 0.1° are merged.

Top 12 peaks for 5 to 70 degrees two-theta, in order of rising 2θ:
7.023 Å, 12.60°, I = 71; 5.183 Å, 17.11°, I = 89; 4.891 Å, 18.14°, I = 37; 4.619 Å, 19.21°, I = 59; 4.008 Å, 22.18°, I = 66; 3.705 Å, 24.02°, I = 100; 3.194 Å, 27.93°, I = 29; 3.172 Å, 28.13°, I = 26; 2.969 Å, 30.09°, I = 34; 2.870 Å, 31.16°, I = 79; 2.638 Å, 33.98°, I = 30; 1.625 Å, 56.64°, I = 33

Structure:
```
data_LiFe2P2O9
_chemical_formula_sum 'Li4 Fe8 P8 O36'
_cell_length_a 14.046
_cell_length_b 6.344
_cell_length_c 7.681
_cell_angle_alpha 90.00
_cell_angle_beta 90.00
_cell_angle_gamma 90.00
_symmetry_space_group_name_H-M 'P n m a'
_symmetry_Int_Tables_number 62
_symmetry_space_group_name_Hall '-P 2ac 2n'
loop_
_atom_site_label
_atom_site_fract_x
_atom_site_fract_y
_atom_site_fract_z
Li1 0.230 0.250 0.046
Fe1 0.000 0.000 0.000
Fe2 0.119 0.250 0.649
P1 0.065 0.750 0.647
P2 0.193 0.750 0.111
O1 0.010 0.250 0.495
O2 0.015 0.750 0.830
O3 0.047 0.250 0.858
O4 0.134 0.546 0.088
O5 0.134 0.561 0.639
O6 0.222 0.250 0.476
O7 0.250 0.250 0.785
```